The following is a computed X-ray diffraction stick pattern of NaCo4BiO12. It was derived from a PBE+U-relaxed structure, using CuKα.

Structural model:
```
data_NaCo4BiO12
_cell_length_a 7.2473
_cell_length_b 5.2667
_cell_length_c 5.2667
_cell_angle_alpha 84.83
_cell_angle_beta 90.00
_cell_angle_gamma 90.00
_symmetry_space_group_name_H-M 'P 1'
_symmetry_Int_Tables_number 1
_symmetry_space_group_name_Hall 'P 1'
loop_
_atom_site_label
_atom_site_type_symbol
_atom_site_fract_x
_atom_site_fract_y
_atom_site_fract_z
Na1 Na 0.0000 0.0000 0.0000
Co1 Co 0.2453 0.4897 0.9775
Co2 Co 0.2453 0.9775 0.4897
Co3 Co 0.7547 0.4897 0.9775
Co4 Co 0.7547 0.9775 0.4897
Bi1 Bi 0.5000 0.4757 0.4757
O1 O 0.0000 0.0259 0.4225
O2 O 0.0000 0.4225 0.0259
O3 O 0.1884 0.7750 0.7750
O4 O 0.2700 0.2847 0.6931
O5 O 0.2700 0.6931 0.2847
O6 O 0.3233 0.2238 0.2238
O7 O 0.5000 0.5562 0.9065
O8 O 0.5000 0.9065 0.5562
O9 O 0.6767 0.2238 0.2238
O10 O 0.7300 0.2847 0.6931
O11 O 0.7300 0.6931 0.2847
O12 O 0.8116 0.7750 0.7750
```

Main lines, low angle first (2θ from 10° to 90°):
two_theta	I_rel
12.21	50
16.90	51
20.91	100
29.97	22
33.81	41
34.19	44
35.39	47
46.72	22
51.44	21
59.95	21

***

The following is a computed X-ray diffraction stick pattern of MgFe6O10F2. It was derived from a PBE+U-relaxed structure, using CuKα.

Structural model:
```
data_MgFe6O10F2
_cell_length_a 5.7493
_cell_length_b 5.8655
_cell_length_c 7.6398
_cell_angle_alpha 109.39
_cell_angle_beta 97.44
_cell_angle_gamma 111.76
_symmetry_space_group_name_H-M 'P 1'
_symmetry_Int_Tables_number 1
_symmetry_space_group_name_Hall 'P 1'
loop_
_atom_site_label
_atom_site_type_symbol
_atom_site_fract_x
_atom_site_fract_y
_atom_site_fract_z
Mg1 Mg 0.0000 0.0000 0.0000
Fe1 Fe 0.0010 0.9997 0.5000
Fe2 Fe 0.0010 0.5008 0.0007
Fe3 Fe 0.3222 0.5589 0.3759
Fe4 Fe 0.3859 0.9743 0.8190
Fe5 Fe 0.6147 0.0270 0.1820
Fe6 Fe 0.6805 0.4395 0.6238
O1 O 0.0327 0.6813 0.8212
O2 O 0.2319 0.8319 0.5441
O3 O 0.3052 0.3128 0.5034
O4 O 0.3532 0.6956 0.1752
O5 O 0.3909 0.1560 0.0904
O6 O 0.6095 0.8456 0.9114
O7 O 0.6493 0.3046 0.8264
O8 O 0.6963 0.6872 0.4965
O9 O 0.7705 0.1682 0.4562
O10 O 0.9698 0.3195 0.1800
F1 F 0.0767 0.1812 0.8073
F2 F 0.9254 0.8186 0.1928
```

Main lines, low angle first (2θ from 10° to 90°):
two_theta	I_rel
24.00	100
27.39	95
34.89	32
35.15	26
35.33	28
35.61	23
41.04	20
49.14	21
54.13	19
56.52	19

***

The following is a computed X-ray diffraction stick pattern of Mg6MnCrO8. It was derived from a PBE+U-relaxed structure, using CuKα.

Structural model:
```
data_Mg6MnCrO8
_cell_length_a 4.3752
_cell_length_b 4.3752
_cell_length_c 8.5125
_cell_angle_alpha 90.00
_cell_angle_beta 90.00
_cell_angle_gamma 90.00
_symmetry_space_group_name_H-M 'P 1'
_symmetry_Int_Tables_number 1
_symmetry_space_group_name_Hall 'P 1'
loop_
_atom_site_label
_atom_site_type_symbol
_atom_site_fract_x
_atom_site_fract_y
_atom_site_fract_z
Mg1 Mg 0.0000 0.0000 0.0000
Mg2 Mg 0.0000 0.5000 0.2492
Mg3 Mg 0.0000 0.5000 0.7508
Mg4 Mg 0.5000 0.0000 0.2492
Mg5 Mg 0.5000 0.0000 0.7508
Mg6 Mg 0.5000 0.5000 0.0000
Mn1 Mn 0.0000 0.0000 0.5000
Cr1 Cr 0.5000 0.5000 0.5000
O1 O 0.0000 0.0000 0.2418
O2 O 0.0000 0.0000 0.7582
O3 O 0.0000 0.5000 0.0000
O4 O 0.0000 0.5000 0.5000
O5 O 0.5000 0.0000 0.0000
O6 O 0.5000 0.0000 0.5000
O7 O 0.5000 0.5000 0.2502
O8 O 0.5000 0.5000 0.7498
```

Main lines, low angle first (2θ from 10° to 90°):
two_theta	I_rel
10.39	31
30.75	10
35.88	34
41.27	100
42.48	45
59.78	28
60.71	54
71.73	12
76.07	25
89.63	8

***

The following is a computed X-ray diffraction stick pattern of KFeS2O8. It was derived from a PBE+U-relaxed structure, using CuKα.

Structural model:
```
data_KFeS2O8
_cell_length_a 4.9104
_cell_length_b 4.9104
_cell_length_c 8.0249
_cell_angle_alpha 94.03
_cell_angle_beta 94.03
_cell_angle_gamma 64.26
_symmetry_space_group_name_H-M 'P 1'
_symmetry_Int_Tables_number 1
_symmetry_space_group_name_Hall 'P 1'
loop_
_atom_site_label
_atom_site_type_symbol
_atom_site_fract_x
_atom_site_fract_y
_atom_site_fract_z
K1 K 0.0000 0.0000 0.0000
Fe1 Fe 0.0000 0.0000 0.5000
S1 S 0.3682 0.3682 0.7023
S2 S 0.6318 0.6318 0.2977
O1 O 0.2355 0.2355 0.5659
O2 O 0.2387 0.7040 0.6805
O3 O 0.2960 0.7613 0.3195
O4 O 0.3130 0.3130 0.8699
O5 O 0.6870 0.6870 0.1301
O6 O 0.7040 0.2387 0.6805
O7 O 0.7613 0.2960 0.3195
O8 O 0.7645 0.7645 0.4341
```

Main lines, low angle first (2θ from 10° to 90°):
two_theta	I_rel
11.06	100
21.44	38
22.55	66
23.40	50
25.01	44
29.46	91
30.82	43
34.34	30
36.80	48
63.17	22

***

The following is a computed X-ray diffraction stick pattern of V4OF11. It was derived from a PBE+U-relaxed structure, using CuKα.

Structural model:
```
data_V4OF11
_cell_length_a 5.2992
_cell_length_b 5.4594
_cell_length_c 7.5365
_cell_angle_alpha 92.99
_cell_angle_beta 90.13
_cell_angle_gamma 90.09
_symmetry_space_group_name_H-M 'P 1'
_symmetry_Int_Tables_number 1
_symmetry_space_group_name_Hall 'P 1'
loop_
_atom_site_label
_atom_site_type_symbol
_atom_site_fract_x
_atom_site_fract_y
_atom_site_fract_z
V1 V 0.0000 0.0000 0.0000
V2 V 0.0005 0.0020 0.4984
V3 V 0.4915 0.5006 0.9772
V4 V 0.4997 0.5022 0.4979
O1 O 0.4261 0.5029 0.7579
F1 F 0.1025 0.0026 0.7499
F2 F 0.1943 0.6996 0.4524
F3 F 0.1997 0.3044 0.0468
F4 F 0.3010 0.8002 0.0503
F5 F 0.3043 0.2009 0.4487
F6 F 0.5807 0.5021 0.2388
F7 F 0.6972 0.1979 0.9540
F8 F 0.6965 0.8033 0.5468
F9 F 0.8050 0.6932 0.9574
F10 F 0.8065 0.3048 0.5420
F11 F 0.8963 0.0009 0.2489
```

Main lines, low angle first (2θ from 10° to 90°):
two_theta	I_rel
23.41	100
23.64	52
32.87	22
39.40	10
39.58	10
39.75	9
47.88	21
48.38	10
53.23	20
53.56	13

***

The following is a computed X-ray diffraction stick pattern of MnRePb2O6. It was derived from a PBE+U-relaxed structure, using CuKα.

Structural model:
```
data_MnRePb2O6
_cell_length_a 5.7707
_cell_length_b 5.7707
_cell_length_c 5.7707
_cell_angle_alpha 60.00
_cell_angle_beta 60.00
_cell_angle_gamma 60.00
_symmetry_space_group_name_H-M 'P 1'
_symmetry_Int_Tables_number 1
_symmetry_space_group_name_Hall 'P 1'
loop_
_atom_site_label
_atom_site_type_symbol
_atom_site_fract_x
_atom_site_fract_y
_atom_site_fract_z
Mn1 Mn 0.0000 0.0000 0.0000
Re1 Re 0.5000 0.5000 0.5000
Pb1 Pb 0.2500 0.2500 0.2500
Pb2 Pb 0.7500 0.7500 0.7500
O1 O 0.2636 0.2636 0.7364
O2 O 0.2636 0.7364 0.2636
O3 O 0.2636 0.7364 0.7364
O4 O 0.7364 0.2636 0.2636
O5 O 0.7364 0.2636 0.7364
O6 O 0.7364 0.7364 0.2636
```

Main lines, low angle first (2θ from 10° to 90°):
two_theta	I_rel
18.83	11
30.99	100
36.52	5
38.20	7
44.40	27
55.13	41
64.60	17
73.37	18
81.76	6
89.97	23